Diffraction record for LaPrCr2O6. The powder XRD pattern is simulated, not measured: it uses DFT lattice parameters and positions (GGA+U) and Cu Kα X-rays.
No peak broadening, texture or thermal motion is included.

Largest 10 diffraction maxima, in order of rising 2θ, 2θ = 15–90°:
2θ = 22.6°, intensity 28
2θ = 31.8°, intensity 22
2θ = 32.1°, intensity 100
2θ = 32.3°, intensity 24
2θ = 39.8°, intensity 13
2θ = 46.0°, intensity 25
2θ = 46.2°, intensity 15
2θ = 56.9°, intensity 13
2θ = 57.5°, intensity 33
2θ = 67.2°, intensity 13

```
data_LaPrCr2O6
_space_group_name_H-M_alt 'P m c 21'
_space_group_IT_number 26
_cell_length_a 7.867
_cell_length_b 5.540
_cell_length_c 5.620
_cell_angle_alpha 90.00
_cell_angle_beta 90.00
_cell_angle_gamma 90.00
loop_
_space_group_symop_operation_xyz
'x,y,z'
'-x,-y,z+1/2'
'-x,y,z'
'x,-y,z+1/2'
loop_
_atom_site_label
_atom_site_fract_x
_atom_site_fract_y
_atom_site_fract_z
La1 0.000 0.241 0.000
Pr1 0.500 0.261 0.086
Cr1 0.251 0.249 0.540
O1 0.000 0.331 0.560
O2 0.207 0.041 0.249
O3 0.297 0.461 0.828
O4 0.500 0.164 0.517
```